Starting from the PBE geometry in Alexandria, the powder diffractogram of MgAl2Br8 was computed for copper Kα.

Peak list (6 most intense, 2θ = 10–90°, by angle)
| two_theta | I/Imax |
| --- | --- |
| 22.60 | 40 |
| 26.46 | 61 |
| 27.05 | 48 |
| 27.17 | 100 |
| 28.72 | 49 |
| 41.00 | 37 |

Structural model:
Cell lengths 10.560, 10.560, 12.451 Å; angles 123.38, 123.38, 51.88 degrees
Fractional positions:
Mg: 0.013 0.987 0.750
Mg: 0.987 0.013 0.250
Al: 0.153 0.684 0.470
Al: 0.316 0.847 0.030
Al: 0.684 0.153 0.970
Al: 0.847 0.316 0.530
Br: 0.118 0.177 0.509
Br: 0.127 0.706 0.280
Br: 0.153 0.718 0.827
Br: 0.177 0.118 0.009
Br: 0.282 0.847 0.673
Br: 0.292 0.404 0.448
Br: 0.294 0.873 0.220
Br: 0.404 0.292 0.948
Br: 0.596 0.708 0.052
Br: 0.706 0.127 0.780
Br: 0.708 0.596 0.552
Br: 0.718 0.153 0.327
Br: 0.823 0.882 0.991
Br: 0.847 0.282 0.173
Br: 0.873 0.294 0.720
Br: 0.882 0.823 0.491